# Tb2CeScSe4
Computed XRD peak list, Cu Kα (weighted mean of Kα1 and Kα2). Input: a DFT-relaxed cell (GGA-PBE, Alexandria).

Structural model:
a b c (Å): 7.0471 4.0487 7.0948
angles (deg): 90.00 109.12 90.00
Space group P2/m (No. 10)
Inequivalent atoms, fractional coordinates:
Tb (0.0000, 0.0000, 0.0000)
Tb (0.0000, 0.5000, 0.5000)
Ce (0.5000, 0.0000, 0.5000)
Sc (0.5000, 0.5000, 0.0000)
Se (0.2496, 0.5000, 0.2386)
Se (0.2584, 0.0000, 0.7636)

Largest 10 diffraction maxima, low angle first, 15 to 90 degrees two-theta:
2θ (°), I (rel.), (hkl)
31.0, 100, 1 1 1
44.2, 12, 2 0 2
44.4, 24, 1 1 -3
44.6, 24, 3 1 -1
44.8, 12, 0 2 0
55.2, 6, 4 0 0
55.5, 13, 2 2 -2
64.7, 12, 2 2 2
73.3, 11, 0 2 4
73.7, 11, 4 2 0